Calculated X-ray diffraction stick pattern of InBiPbAu2 for Cu Kα (weighted mean of Kα1 and Kα2), from the GGA-PBE geometry in Alexandria.
No peak broadening, texture or thermal motion is included.

a = 13.815 Å, b = 4.485 Å, c = 10.882 Å
α = 90.00°, β = 128.07°, γ = 90.00°
Space group C2/m (No. 12)
One atom of each set of equivalent atoms:
In  0.077  0.000  0.444
Bi  0.110  0.500  0.869
Pb  0.146  0.000  0.172
Au  0.164  0.500  0.377
Au  0.186  0.000  0.769

Largest 10 diffraction maxima, in order of rising 2θ, 2θ = 5–70°:
2theta, d (Å), I (rel.), index
26.2, 3.406, 47, 1 1 -2
28.3, 3.148, 100, 3 1 -2
32.2, 2.781, 59, 3 1 -3
32.9, 2.719, 40, 4 0 0
33.4, 2.681, 47, 1 1 2
33.7, 2.660, 46, 2 0 2
38.1, 2.363, 49, 3 1 1
38.5, 2.336, 88, 5 1 -2
38.7, 2.325, 76, 3 1 -4
40.2, 2.242, 72, 0 2 0

Calculated X-ray diffraction stick pattern of In2BiPbAu4 for Cu Kα (weighted mean of Kα1 and Kα2), from the GGA-PBE geometry in Alexandria.
No peak broadening, texture or thermal motion is included.

a = 9.297 Å, b = 11.593 Å, c = 7.377 Å
α = 90.00°, β = 90.00°, γ = 90.00°
Space group Fmm2 (No. 42)
One atom of each set of equivalent atoms:
In  0.250  0.250  0.000
Bi  0.000  0.000  0.248
Pb  0.000  0.000  0.747
Au  0.000  0.250  0.250
Au  0.250  0.000  0.497

Largest 10 diffraction maxima, in order of rising 2θ, 2θ = 5–70°:
2theta, d (Å), I (rel.), index
15.3, 5.796, 2, 0 2 0
30.9, 2.892, 100, 2 0 2
38.7, 2.324, 18, 4 0 0
44.3, 2.046, 51, 2 4 2
49.4, 1.844, 9, 0 0 4
50.3, 1.813, 17, 4 4 0
59.4, 1.556, 11, 0 4 4
64.3, 1.449, 4, 0 8 0
64.5, 1.445, 8, 4 0 4
65.3, 1.429, 8, 6 0 2

Calculated X-ray diffraction stick pattern of In2Bi2PtAu2 for Cu Kα (weighted mean of Kα1 and Kα2), from the GGA-PBE geometry in Alexandria.
No peak broadening, texture or thermal motion is included.

a = 4.384 Å, b = 6.915 Å, c = 7.095 Å
α = 118.85°, β = 107.65°, γ = 90.61°
Space group P-1 (No. 2)
One atom of each set of equivalent atoms:
In  0.112  0.276  0.222
Bi  0.382  0.251  0.776
Pt  0.500  0.000  0.000
Au  0.256  0.745  0.504

Largest 10 diffraction maxima, in order of rising 2θ, 2θ = 5–70°:
2theta, d (Å), I (rel.), index
21.7, 4.102, 51, 1 0 0
28.5, 3.134, 77, 1 -1 1
28.7, 3.111, 81, 1 1 -2
30.1, 2.973, 90, 0 2 0
39.3, 2.291, 100, -1 1 2
39.5, 2.284, 95, 1 1 1
40.6, 2.224, 43, 0 2 -3
41.2, 2.192, 70, 2 0 -1
44.2, 2.049, 52, 1 -3 1
44.6, 2.031, 51, 1 3 -2

Calculated X-ray diffraction stick pattern of In2BiSbAu4 for Cu Kα (weighted mean of Kα1 and Kα2), from the GGA-PBE geometry in Alexandria.
No peak broadening, texture or thermal motion is included.

a = 8.980 Å, b = 11.531 Å, c = 7.522 Å
α = 90.00°, β = 90.00°, γ = 90.00°
Space group Fmm2 (No. 42)
One atom of each set of equivalent atoms:
In  0.250  0.250  0.000
Bi  0.000  0.000  0.249
Sb  0.000  0.000  0.750
Au  0.000  0.244  0.750
Au  0.250  0.000  0.000

Largest 10 diffraction maxima, in order of rising 2θ, 2θ = 5–70°:
2theta, d (Å), I (rel.), index
25.1, 3.543, 3, 2 2 0
28.3, 3.150, 2, 0 2 2
31.0, 2.883, 100, 2 0 2
40.2, 2.245, 17, 4 0 0
44.4, 2.039, 50, 2 4 2
48.4, 1.881, 10, 0 0 4
51.6, 1.771, 16, 4 4 0
58.6, 1.575, 11, 0 4 4
64.7, 1.442, 12, 4 0 4
67.3, 1.391, 7, 6 0 2

Calculated X-ray diffraction stick pattern of BiIrPdAu for Cu Kα (weighted mean of Kα1 and Kα2), from the GGA-PBE geometry in Alexandria.
No peak broadening, texture or thermal motion is included.

a = 4.514 Å, b = 3.227 Å, c = 5.460 Å
α = 90.00°, β = 102.71°, γ = 90.00°
Space group Pm (No. 6)
One atom of each set of equivalent atoms:
Bi  0.000  0.000  0.000
Ir  0.510  0.500  0.101
Pd  0.854  0.000  0.487
Au  0.380  0.500  0.578

Largest 10 diffraction maxima, in order of rising 2θ, 2θ = 5–70°:
2theta, d (Å), I (rel.), index
33.7, 2.663, 44, 0 0 2
34.5, 2.603, 100, 1 1 0
35.3, 2.540, 17, 1 0 -2
36.4, 2.469, 17, 1 1 -1
40.8, 2.214, 20, 2 0 -1
41.0, 2.202, 17, 2 0 0
44.1, 2.054, 19, 0 1 2
45.4, 1.996, 34, 1 1 -2
52.2, 1.751, 20, 1 1 2
69.0, 1.362, 20, 3 1 -1

Calculated X-ray diffraction stick pattern of K2Bi2Au for Cu Kα (weighted mean of Kα1 and Kα2), from the GGA-PBE geometry in Alexandria.
No peak broadening, texture or thermal motion is included.

a = 12.412 Å, b = 5.121 Å, c = 12.495 Å
α = 90.00°, β = 119.26°, γ = 90.00°
Space group C2/m (No. 12)
One atom of each set of equivalent atoms:
K  0.080  0.000  0.383
K  0.177  0.500  0.180
Bi  0.103  0.000  0.957
Bi  0.124  0.500  0.615
Au  0.122  0.500  0.846

Largest 10 diffraction maxima, in order of rising 2θ, 2θ = 5–70°:
2theta, d (Å), I (rel.), index
8.1, 10.901, 60, 0 0 1
14.3, 6.206, 66, 2 0 -1
19.2, 4.623, 100, 1 1 -1
21.6, 4.113, 39, 2 0 1
27.8, 3.208, 75, 1 1 2
28.0, 3.181, 32, 3 1 -2
33.1, 2.707, 47, 4 0 0
34.8, 2.581, 82, 3 1 -4
35.0, 2.560, 53, 0 2 0
41.8, 2.159, 34, 1 1 4

Calculated X-ray diffraction stick pattern of KBi2Au for Cu Kα (weighted mean of Kα1 and Kα2), from the GGA-PBE geometry in Alexandria.
No peak broadening, texture or thermal motion is included.

a = 5.636 Å, b = 4.477 Å, c = 5.873 Å
α = 90.00°, β = 112.00°, γ = 90.00°
Space group P2/m (No. 10)
One atom of each set of equivalent atoms:
K  0.000  0.000  0.000
Bi  0.301  0.500  0.674
Au  0.500  0.000  0.500

Largest 10 diffraction maxima, in order of rising 2θ, 2θ = 5–70°:
2theta, d (Å), I (rel.), index
16.3, 5.445, 70, 0 0 1
17.0, 5.226, 44, 1 0 0
27.3, 3.263, 100, 1 1 -1
27.7, 3.216, 73, 1 0 1
36.9, 2.434, 51, 1 1 -2
37.9, 2.374, 43, 2 1 -1
38.7, 2.326, 33, 0 1 2
40.0, 2.257, 43, 2 1 0
40.3, 2.239, 28, 0 2 0
49.6, 1.837, 30, 1 2 1

Calculated X-ray diffraction stick pattern of K4Bi5Au2 for Cu Kα (weighted mean of Kα1 and Kα2), from the GGA-PBE geometry in Alexandria.
No peak broadening, texture or thermal motion is included.

a = 7.178 Å, b = 5.849 Å, c = 9.738 Å
α = 90.00°, β = 95.14°, γ = 90.00°
Space group P2/m (No. 10)
One atom of each set of equivalent atoms:
K  0.209  0.000  0.144
K  0.264  0.000  0.645
Bi  0.075  0.500  0.352
Bi  0.235  0.500  0.921
Bi  0.500  0.500  0.500
Au  0.429  0.500  0.205

Largest 10 diffraction maxima, in order of rising 2θ, 2θ = 5–70°:
2theta, d (Å), I (rel.), index
15.1, 5.849, 100, 0 1 0
26.2, 3.407, 12, 1 1 -2
30.0, 2.975, 15, 2 1 -1
30.6, 2.925, 31, 0 2 0
31.4, 2.850, 25, 1 0 3
33.5, 2.676, 16, 2 1 -2
35.0, 2.563, 30, 1 1 3
38.1, 2.362, 16, 1 0 -4
41.2, 2.191, 22, 1 1 -4
44.4, 2.042, 14, 1 2 3

Calculated X-ray diffraction stick pattern of KBi2Au3 for Cu Kα (weighted mean of Kα1 and Kα2), from the GGA-PBE geometry in Alexandria.
No peak broadening, texture or thermal motion is included.

a = 18.893 Å, b = 4.872 Å, c = 7.137 Å
α = 90.00°, β = 103.82°, γ = 90.00°
Space group C2/m (No. 12)
One atom of each set of equivalent atoms:
K  0.116  0.000  0.142
Bi  0.010  0.500  0.766
Bi  0.230  0.000  0.669
Au  0.068  0.000  0.646
Au  0.129  0.500  0.517
Au  0.217  0.500  0.909

Largest 10 diffraction maxima, in order of rising 2θ, 2θ = 5–70°:
2theta, d (Å), I (rel.), index
12.8, 6.931, 45, 0 0 1
14.1, 6.301, 91, 2 0 -1
30.8, 2.906, 70, 5 1 -1
31.1, 2.876, 49, 1 1 -2
33.0, 2.713, 48, 1 1 2
36.2, 2.484, 76, 5 1 -2
36.9, 2.436, 100, 0 2 0
37.6, 2.393, 50, 3 1 2
38.4, 2.343, 69, 7 1 -1
42.5, 2.126, 46, 1 1 -3

Calculated X-ray diffraction stick pattern of K2Bi4Au3 for Cu Kα (weighted mean of Kα1 and Kα2), from the GGA-PBE geometry in Alexandria.
No peak broadening, texture or thermal motion is included.

a = 6.678 Å, b = 12.399 Å, c = 14.065 Å
α = 90.00°, β = 90.00°, γ = 90.00°
Space group Fmmm (No. 69)
One atom of each set of equivalent atoms:
K  0.000  0.000  0.129
Bi  0.000  0.164  0.356
Au  0.000  0.000  0.500
Au  0.250  0.250  0.000

Largest 10 diffraction maxima, in order of rising 2θ, 2θ = 5–70°:
2theta, d (Å), I (rel.), index
12.6, 7.033, 32, 0 0 2
14.3, 6.199, 39, 0 2 0
16.3, 5.424, 76, 1 1 1
31.8, 2.812, 100, 1 3 3
33.0, 2.712, 41, 2 2 2
37.1, 2.421, 33, 2 0 4
38.7, 2.325, 25, 0 4 4
40.0, 2.255, 39, 2 2 4
50.5, 1.808, 28, 3 3 3
52.0, 1.757, 36, 2 6 0

Calculated X-ray diffraction stick pattern of KBiPb2Au for Cu Kα (weighted mean of Kα1 and Kα2), from the GGA-PBE geometry in Alexandria.
No peak broadening, texture or thermal motion is included.

a = 5.490 Å, b = 5.490 Å, c = 6.748 Å
α = 90.00°, β = 90.00°, γ = 90.00°
Space group P4mm (No. 99)
One atom of each set of equivalent atoms:
K  0.000  0.000  0.000
Bi  0.500  0.500  0.162
Pb  0.000  0.500  0.432
Au  0.000  0.000  0.524

Largest 10 diffraction maxima, in order of rising 2θ, 2θ = 5–70°:
2theta, d (Å), I (rel.), index
13.1, 6.748, 100, 0 0 1
20.9, 4.259, 58, 1 0 1
26.5, 3.368, 45, 0 0 2
31.1, 2.875, 24, 1 0 2
32.6, 2.745, 65, 2 0 0
35.3, 2.545, 87, 1 1 2
39.0, 2.307, 25, 2 1 1
46.7, 1.946, 18, 1 1 3
46.8, 1.941, 24, 2 2 0
59.9, 1.544, 21, 3 1 2

Calculated X-ray diffraction stick pattern of LaBiPtAu for Cu Kα (weighted mean of Kα1 and Kα2), from the GGA-PBE geometry in Alexandria.
No peak broadening, texture or thermal motion is included.

a = 7.267 Å, b = 7.267 Å, c = 7.267 Å
α = 90.00°, β = 90.00°, γ = 90.00°
Space group F-43m (No. 216)
One atom of each set of equivalent atoms:
La  0.000  0.000  0.000
Bi  0.000  0.000  0.500
Pt  0.250  0.250  0.750
Au  0.250  0.250  0.250

Largest 6 diffraction maxima, in order of rising 2θ, 2θ = 5–70°:
2theta, d (Å), I (rel.), index
21.2, 4.196, 2, 1 1 1
34.9, 2.569, 100, 2 2 0
41.2, 2.191, 1, 3 1 1
50.2, 1.817, 18, 4 0 0
55.1, 1.667, 1, 3 3 1
62.6, 1.483, 38, 4 2 2